Entry 1:
Calculated PXRD pattern of EuZrO3 for Cu Kα, from DFT lattice parameters and positions (GGA-PBE).

Main lines, by intensity (2θ = 10–80°):
(2 2 0), 2θ 30.2, intensity 100
(4 2 2), 2θ 53.7, intensity 36
(4 0 0), 2θ 43.3, intensity 28
(4 4 0), 2θ 62.8, intensity 15
(6 2 0), 2θ 71.3, intensity 13
(2 2 2), 2θ 37.2, intensity 7
(4 4 4), 2θ 79.3, intensity 4
(5 0 1), 2θ 56.0, intensity 3
(3 2 1), 2θ 40.3, intensity 3
(5 2 1), 2θ 60.6, intensity 3

Structural model:
Unit cell a=8.3672 b=8.3672 c=8.3672 alpha=90.00 beta=90.00 gamma=90.00
Space group P2_13 (No. 198)
Unique sites:
Eu (0.2238, 0.2238, 0.2238) [4 per cell]
Eu (0.2441, 0.7559, 0.2559) [4 per cell]
Zr (0.0072, 0.9928, 0.4928) [4 per cell]
Zr (0.0098, 0.4902, 0.5098) [4 per cell]
O (0.0135, 0.9645, 0.7402) [12 per cell]
O (0.0174, 0.7393, 0.4744) [12 per cell]


Entry 2:
Calculated PXRD pattern of PaNi2Sn for Cu Kα, from DFT lattice parameters and positions (GGA-PBE).

Main lines, by intensity (2θ = 10–80°):
(2 2 0), 2θ 39.2, intensity 100
(4 2 2), 2θ 70.9, intensity 35
(2 0 0), 2θ 27.4, intensity 25
(4 0 0), 2θ 56.6, intensity 17
(1 1 1), 2θ 23.7, intensity 11
(4 2 0), 2θ 64.0, intensity 11
(2 2 2), 2θ 48.5, intensity 8
(3 1 1), 2θ 46.3, intensity 6
(3 3 1), 2θ 62.2, intensity 3
(5 1 1), 2θ 76.0, intensity 2

Structural model:
Unit cell a=6.5077 b=6.5077 c=6.5077 alpha=90.00 beta=90.00 gamma=90.00
Space group Fm-3m (No. 225)
Unique sites:
Pa (0.0000, 0.0000, 0.0000) [4 per cell]
Ni (0.2500, 0.2500, 0.2500) [8 per cell]
Sn (0.0000, 0.0000, 0.5000) [4 per cell]


Copy entry 2 word for word.
Calculated PXRD pattern of PaNi2Sn for Cu Kα, from DFT lattice parameters and positions (GGA-PBE).

Main lines, by intensity (2θ = 10–80°):
(2 2 0), 2θ 39.2, intensity 100
(4 2 2), 2θ 70.9, intensity 35
(2 0 0), 2θ 27.4, intensity 25
(4 0 0), 2θ 56.6, intensity 17
(1 1 1), 2θ 23.7, intensity 11
(4 2 0), 2θ 64.0, intensity 11
(2 2 2), 2θ 48.5, intensity 8
(3 1 1), 2θ 46.3, intensity 6
(3 3 1), 2θ 62.2, intensity 3
(5 1 1), 2θ 76.0, intensity 2

Structural model:
Unit cell a=6.5077 b=6.5077 c=6.5077 alpha=90.00 beta=90.00 gamma=90.00
Space group Fm-3m (No. 225)
Unique sites:
Pa (0.0000, 0.0000, 0.0000) [4 per cell]
Ni (0.2500, 0.2500, 0.2500) [8 per cell]
Sn (0.0000, 0.0000, 0.5000) [4 per cell]